This entry pairs a crystal structure of Li3CoRuO5 with its theoretical powder diffraction line list. Radiation: Cu Kα, 1.54184 Å. Structure: DFT lattice parameters and positions (GGA+U).
Kinematic intensities with the Lorentz-polarization factor, no thermal factor.

Most intense lines, 10° ≤ 2θ ≤ 80°, sorted by position:
Position (°2θ)	d [Å]	I_rel
18.1	4.893	100
19.1	4.656	30
21.9	4.057	19
30.3	2.946	16
35.2	2.552	15
35.5	2.528	32
37.2	2.417	12
42.9	2.107	78
62.2	1.492	15
62.4	1.489	15

Crystal structure
abc: 7.8154 7.8154 5.1755
angles: 96.21 96.21 141.21
Sites, in units of the cell vectors:
Li 0.0000 0.0000 0.0000
Li 0.0991 0.9009 0.5000
Li 0.3009 0.6991 0.5000
Li 0.5000 0.5000 0.5000
Li 0.6991 0.3009 0.5000
Li 0.9009 0.0991 0.5000
Co 0.2024 0.7976 0.0000
Co 0.7976 0.2024 0.0000
Ru 0.3976 0.6024 0.0000
Ru 0.6024 0.3976 0.0000
O 0.0580 0.4487 0.7590
O 0.1600 0.3653 0.2289
O 0.2746 0.2746 0.7680
O 0.3653 0.1600 0.2289
O 0.4487 0.0580 0.7590
O 0.5513 0.9420 0.2410
O 0.6347 0.8400 0.7711
O 0.7254 0.7254 0.2320
O 0.8400 0.6347 0.7711
O 0.9420 0.5513 0.2410